Diffraction record for Li2MgZrO4. The powder diffractogram is computed, not measured: it uses the PBE geometry in the Materials Project and λ = 1.5418 Å (Cu Kα).
Kinematic intensities with the Lorentz-polarization factor, no thermal factor.

Cell and atoms:
```
Li2MgZrO4
1.0
-2.131 2.131 4.521
2.131 -2.131 4.521
2.131 2.131 -4.521
Li Mg Zr O
2 1 1 4
Direct
0.000 0.000 0.000 Li
0.750 0.250 0.500 Li
0.500 0.500 0.000 Mg
0.250 0.750 0.500 Zr
0.018 0.518 0.500 O
0.263 0.263 0.000 O
0.482 0.982 0.500 O
0.737 0.737 0.000 O
```

Largest 10 diffraction maxima, by intensity, 15° ≤ 2θ ≤ 90°:
2θ/deg, d (Å), Rel. int.
23.07, 3.856, 100.0
42.41, 2.131, 39.5
48.83, 1.865, 24.9
59.62, 1.551, 24.4
39.88, 2.261, 22.8
36.51, 2.461, 20.1
19.63, 4.521, 18.7
35.81, 2.508, 14.2
29.64, 3.014, 13.2
61.54, 1.507, 12.3